# 1
Calculated powder diffractogram
Compound: NiMo2Ru
Radiation: Cu Kα X-rays
Structure: a crystal structure in Alexandria, relaxed with PBE

The 10 most intense peaks (15 to 90 degrees two-theta), in order of falling intensity:
hkl	d/Å	Position (°2θ)	intensity
0 2 1	2.237	40.3	100.0
2 2 0	2.199	41.0	94.8
2 0 1	1.928	47.1	62.7
2 4 1	1.356	69.3	38.1
0 4 0	1.907	47.7	30.3
2 2 2	1.170	82.5	23.8
4 2 1	1.153	83.9	22.8
0 6 1	1.155	83.7	11.5
2 6 0	1.150	84.2	11.3
0 4 2	1.119	87.1	10.5

Cell and atoms:
```
data_NiMo2Ru
_cell_length_a 5.3817
_cell_length_b 7.6287
_cell_length_c 2.7627
_cell_angle_alpha 90.00
_cell_angle_beta 90.00
_cell_angle_gamma 90.00
_symmetry_space_group_name_H-M 'C m m m'
_symmetry_Int_Tables_number 65
_symmetry_space_group_name_Hall '-C 2 2'
loop_
_atom_site_label
_atom_site_fract_x
_atom_site_fract_y
_atom_site_fract_z
_atom_site_occupancy
Ni1 0.0000 0.0000 0.0000 1
Mo1 0.2500 0.2500 0.5000 1
Ru1 0.0000 0.5000 0.0000 1
```

---

# 2
Calculated powder diffractogram
Compound: NiMoRu
Radiation: Cu Kα X-rays
Structure: a crystal structure in Alexandria, relaxed with PBE

The 10 most intense peaks (15 to 90 degrees two-theta), in order of falling intensity:
hkl	d/Å	Position (°2θ)	intensity
1 3 1	2.062	43.9	100.0
0 6 1	2.028	44.7	47.0
0 0 2	2.149	42.0	38.0
1 3 0	2.351	38.3	24.9
1 9 2	1.136	85.5	18.0
1 3 3	1.223	78.1	17.4
1 9 0	1.338	70.4	15.1
1 3 2	1.586	58.2	14.0
2 6 1	1.134	85.7	13.7
0 6 0	2.300	39.2	11.5

Cell and atoms:
```
data_NiMoRu
_cell_length_a 2.7349
_cell_length_b 13.8013
_cell_length_c 4.2979
_cell_angle_alpha 90.00
_cell_angle_beta 90.00
_cell_angle_gamma 90.00
_symmetry_space_group_name_H-M 'C m c m'
_symmetry_Int_Tables_number 63
_symmetry_space_group_name_Hall '-C 2c 2'
loop_
_atom_site_label
_atom_site_fract_x
_atom_site_fract_y
_atom_site_fract_z
_atom_site_occupancy
Ni1 0.0000 0.0532 0.2500 1
Mo1 0.0000 0.3930 0.2500 1
Ru1 0.0000 0.2803 0.7500 1
```

---

# 3
Calculated powder diffractogram
Compound: NiMoRuW
Radiation: Cu Kα X-rays
Structure: a crystal structure in Alexandria, relaxed with PBE

The 10 most intense peaks (15 to 90 degrees two-theta), in order of falling intensity:
hkl	d/Å	Position (°2θ)	intensity
1 1 1	2.218	40.7	100.0
2 0 2	1.359	69.1	20.3
0 0 2	1.926	47.2	16.2
0 2 0	1.920	47.3	16.1
2 0 0	1.916	47.4	16.0
0 1 0	3.846	23.1	14.2
1 0 1	2.715	33.0	12.7
1 1 3	1.160	83.3	12.3
1 3 1	1.158	83.5	12.2
3 1 1	1.156	83.6	12.2

Cell and atoms:
```
data_NiMoRuW
_cell_length_a 3.8329
_cell_length_b 3.8407
_cell_length_c 3.8513
_cell_angle_alpha 90.00
_cell_angle_beta 90.00
_cell_angle_gamma 90.00
_symmetry_space_group_name_H-M 'P m m m'
_symmetry_Int_Tables_number 47
loop_
_symmetry_equiv_pos_as_xyz
'x,y,z'
'-x,-y,-z'
'-x,-y,z'
'x,y,-z'
'x,-y,-z'
'-x,y,z'
'-x,y,-z'
'x,-y,z'
loop_
_atom_site_label
_atom_site_fract_x
_atom_site_fract_y
_atom_site_fract_z
_atom_site_occupancy
Ni1 0.0000 0.0000 0.0000 1
Mo1 0.5000 0.0000 0.5000 1
Ru1 0.5000 0.5000 0.0000 1
W1 0.0000 0.5000 0.5000 1
```

---

# 4
Calculated powder diffractogram
Compound: ScNiMo2
Radiation: Cu Kα X-rays
Structure: a crystal structure in Alexandria, relaxed with PBE

The 10 most intense peaks (15 to 90 degrees two-theta), in order of falling intensity:
hkl	d/Å	Position (°2θ)	intensity
1 1 2	2.286	39.4	100.0
0 2 0	2.021	44.8	18.7
2 0 0	1.826	49.9	15.0
0 0 4	2.128	42.5	14.8
1 3 2	1.212	79.0	12.0
1 1 3	1.960	46.3	12.0
3 1 2	1.124	86.6	9.7
2 2 0	1.355	69.3	9.6
0 2 4	1.466	63.5	8.4
0 0 2	4.256	20.9	7.7

Cell and atoms:
```
data_ScNiMo2
_cell_length_a 3.6528
_cell_length_b 4.0425
_cell_length_c 8.5121
_cell_angle_alpha 90.00
_cell_angle_beta 90.00
_cell_angle_gamma 90.00
_symmetry_space_group_name_H-M 'C m m m'
_symmetry_Int_Tables_number 65
_symmetry_space_group_name_Hall '-C 2 2'
loop_
_atom_site_label
_atom_site_fract_x
_atom_site_fract_y
_atom_site_fract_z
_atom_site_occupancy
Sc1 0.0000 0.0000 0.0000 1
Ni1 0.0000 0.0000 0.5000 1
Mo1 0.0000 0.5000 0.2807 1
```

---

# 5
Calculated powder diffractogram
Compound: NiMoSe
Radiation: Cu Kα X-rays
Structure: a crystal structure in Alexandria, relaxed with PBE

The 10 most intense peaks (15 to 90 degrees two-theta), in order of falling intensity:
hkl	d/Å	Position (°2θ)	intensity
1 0 1	2.382	37.8	100.0
0 1 2	1.953	46.5	55.3
1 1 0	1.502	61.7	22.4
1 1 3	1.195	80.4	20.4
0 0 3	1.971	46.0	18.1
0 2 1	1.271	74.7	12.7
1 0 4	1.285	73.7	12.6
2 0 2	1.191	80.7	10.7
1 0 0	2.602	34.5	1.7
0 1 3	1.571	58.8	1.3

Cell and atoms:
```
data_NiMoSe
_cell_length_a 3.0047
_cell_length_b 3.0047
_cell_length_c 5.9133
_cell_angle_alpha 90.00
_cell_angle_beta 90.00
_cell_angle_gamma 120.00
_symmetry_space_group_name_H-M 'P 3 m 1'
_symmetry_Int_Tables_number 156
loop_
_symmetry_equiv_pos_as_xyz
'x,y,z'
'-y,x-y,z'
'-x+y,-x,z'
'-y,-x,z'
'-x+y,y,z'
'x,x-y,z'
loop_
_atom_site_label
_atom_site_fract_x
_atom_site_fract_y
_atom_site_fract_z
_atom_site_occupancy
Ni1 0.0000 0.0000 0.0000 1
Mo1 0.3333 0.6667 0.6678 1
Se1 0.6667 0.3333 0.3506 1
```

---

# 6
Calculated powder diffractogram
Compound: NiMo4Se
Radiation: Cu Kα X-rays
Structure: a crystal structure in Alexandria, relaxed with PBE

The 10 most intense peaks (15 to 90 degrees two-theta), in order of falling intensity:
hkl	d/Å	Position (°2θ)	intensity
3 1 1	2.228	40.5	100.0
2 2 2	2.133	42.4	50.3
5 1 1	1.422	65.6	30.5
4 4 0	1.306	72.3	27.8
1 1 1	4.267	20.8	19.0
6 2 2	1.114	87.6	18.9
2 2 0	2.613	34.3	18.9
5 3 3	1.127	86.3	11.0
4 0 0	1.848	49.3	9.4
4 2 2	1.509	61.5	6.6

Cell and atoms:
```
data_NiMo4Se
_cell_length_a 7.3902
_cell_length_b 7.3902
_cell_length_c 7.3902
_cell_angle_alpha 90.00
_cell_angle_beta 90.00
_cell_angle_gamma 90.00
_symmetry_space_group_name_H-M 'F -4 3 m'
_symmetry_Int_Tables_number 216
_symmetry_space_group_name_Hall 'F -4 2 3'
loop_
_atom_site_label
_atom_site_fract_x
_atom_site_fract_y
_atom_site_fract_z
_atom_site_occupancy
Ni1 0.0000 0.0000 0.0000 1
Mo1 0.1262 0.1262 0.3738 1
Se1 0.2500 0.2500 0.7500 1
```

---

# 7
Calculated powder diffractogram
Compound: SrNiMo
Radiation: Cu Kα X-rays
Structure: a crystal structure in Alexandria, relaxed with PBE

The 10 most intense peaks (15 to 90 degrees two-theta), in order of falling intensity:
hkl	d/Å	Position (°2θ)	intensity
1 1 4	2.362	38.1	100.0
2 0 0	1.920	47.3	44.0
1 0 3	3.291	27.1	42.2
1 1 2	2.613	34.3	41.3
1 0 5	2.713	33.0	39.3
1 0 7	2.228	40.5	27.0
0 0 6	3.192	28.0	21.5
3 1 4	1.177	81.8	20.7
1 1 10	1.566	59.0	20.6
1 1 8	1.796	50.8	17.5

Cell and atoms:
```
data_SrNiMo
_cell_length_a 3.8408
_cell_length_b 3.8408
_cell_length_c 19.1498
_cell_angle_alpha 90.00
_cell_angle_beta 90.00
_cell_angle_gamma 90.00
_symmetry_space_group_name_H-M 'I -4 m 2'
_symmetry_Int_Tables_number 119
_symmetry_space_group_name_Hall 'I -4 -2'
loop_
_atom_site_label
_atom_site_fract_x
_atom_site_fract_y
_atom_site_fract_z
_atom_site_occupancy
Sr1 0.0000 0.0000 0.1604 1
Ni1 0.0000 0.0000 0.4100 1
Mo1 0.0000 0.5000 0.5050 1
```

---

# 8
Calculated powder diffractogram
Compound: TcNi3Mo
Radiation: Cu Kα X-rays
Structure: a crystal structure in Alexandria, relaxed with PBE

The 10 most intense peaks (15 to 90 degrees two-theta), in order of falling intensity:
hkl	d/Å	Position (°2θ)	intensity
5 1 -1	2.059	44.0	100.0
5 1 1	1.971	46.0	92.8
0 2 0	2.095	43.2	65.6
1 1 -2	2.004	45.2	38.4
0 0 2	2.291	39.3	32.7
4 0 1	2.607	34.4	20.1
0 2 2	1.546	59.8	17.9
5 3 -1	1.202	79.8	16.2
5 3 1	1.184	81.2	16.0
5 1 0	2.242	40.2	15.4

Cell and atoms:
```
data_TcNi3Mo
_cell_length_a 13.2994
_cell_length_b 4.1894
_cell_length_c 4.5915
_cell_angle_alpha 90.00
_cell_angle_beta 93.75
_cell_angle_gamma 90.00
_symmetry_space_group_name_H-M 'C 1 2/m 1'
_symmetry_Int_Tables_number 12
loop_
_symmetry_equiv_pos_as_xyz
'x,y,z'
'-x,-y,-z'
'-x,y,-z'
'x,-y,z'
'x+1/2,y+1/2,z'
'-x+1/2,-y+1/2,-z'
'-x+1/2,y+1/2,-z'
'x+1/2,-y+1/2,z'
loop_
_atom_site_label
_atom_site_fract_x
_atom_site_fract_y
_atom_site_fract_z
_atom_site_occupancy
Tc1 0.2390 0.0000 0.1598 1
Ni1 0.0382 0.0000 0.2456 1
Ni2 0.1471 0.5000 0.3207 1
Ni3 0.1579 0.0000 0.6462 1
Mo1 0.0640 0.5000 0.8036 1
```